# 1
Structure and theoretical XRD peak list of Nd5GeP4 (a crystal structure in Alexandria, relaxed with PBE; copper Kα).
Lines closer than 0.1° are merged.

Cell and atoms:
```
data_Nd5GeP4
_chemical_formula_sum 'Nd10 Ge2 P8'
_space_group_name_H-M_alt 'I 4/m'
_space_group_IT_number 87
_space_group_name_Hall '-I 4'
_cell_length_a 9.369
_cell_length_b 9.369
_cell_length_c 5.921
_cell_angle_alpha 90.00
_cell_angle_beta 90.00
_cell_angle_gamma 90.00
loop_
_atom_site_label
_atom_site_type_symbol
_atom_site_fract_x
_atom_site_fract_y
_atom_site_fract_z
Nd1 Nd 0.000 0.000 0.000
Nd2 Nd 0.104 0.307 0.500
Ge1 Ge 0.000 0.000 0.500
P1 P 0.100 0.300 0.000
```

Most intense lines, 2θ from 10° to 90°, by angle:
- 2θ 26.05, I 62
- 2θ 30.17, I 100
- 2θ 43.19, I 74
- 2θ 51.14, I 30
- 2θ 53.59, I 26
- 2θ 62.74, I 12
- 2θ 69.12, I 12
- 2θ 71.18, I 32
- 2θ 79.22, I 24
- 2θ 85.10, I 9

# 2
Structure and theoretical XRD peak list of Nd6Ge2Pd (a crystal structure in Alexandria, relaxed with PBE; copper Kα).
Lines closer than 0.1° are merged.

Cell and atoms:
```
data_Nd6Ge2Pd
_chemical_formula_sum 'Nd12 Ge4 Pd2'
_space_group_name_H-M_alt 'P 1 21/c 1'
_space_group_IT_number 14
_cell_length_a 6.431
_cell_length_b 8.162
_cell_length_c 11.971
_cell_angle_alpha 90.00
_cell_angle_beta 121.99
_cell_angle_gamma 90.00
loop_
_space_group_symop_operation_xyz
'x,y,z'
'-x,-y,-z'
'-x,y+1/2,-z+1/2'
'x,-y+1/2,z+1/2'
loop_
_atom_site_label
_atom_site_type_symbol
_atom_site_fract_x
_atom_site_fract_y
_atom_site_fract_z
Nd1 Nd 0.064 0.185 0.437
Nd2 Nd 0.297 0.666 0.441
Nd3 Nd 0.377 0.039 0.238
Ge1 Ge 0.167 0.119 0.748
Pd1 Pd 0.500 0.000 0.500
```

Most intense lines, 2θ from 10° to 90°, by angle:
- 2θ 27.30, I 53
- 2θ 28.05, I 39
- 2θ 29.90, I 100
- 2θ 31.10, I 70
- 2θ 31.28, I 52
- 2θ 31.45, I 35
- 2θ 31.72, I 39
- 2θ 31.93, I 30
- 2θ 35.84, I 62
- 2θ 51.51, I 32

# 3
Structure and theoretical XRD peak list of Nd3Ge3Pd (a crystal structure in Alexandria, relaxed with PBE; copper Kα).
Lines closer than 0.1° are merged.

Cell and atoms:
```
data_Nd3Ge3Pd
_chemical_formula_sum 'Nd12 Ge12 Pd4'
_space_group_name_H-M_alt 'C 1 2/m 1'
_space_group_IT_number 12
_cell_length_a 10.989
_cell_length_b 4.440
_cell_length_c 14.415
_cell_angle_alpha 90.00
_cell_angle_beta 110.06
_cell_angle_gamma 90.00
loop_
_space_group_symop_operation_xyz
'x,y,z'
'-x,-y,-z'
'-x,y,-z'
'x,-y,z'
'x+1/2,y+1/2,z'
'-x+1/2,-y+1/2,-z'
'-x+1/2,y+1/2,-z'
'x+1/2,-y+1/2,z'
loop_
_atom_site_label
_atom_site_type_symbol
_atom_site_fract_x
_atom_site_fract_y
_atom_site_fract_z
Nd1 Nd 0.034 0.000 0.380
Nd2 Nd 0.101 0.000 0.923
Nd3 Nd 0.244 0.000 0.228
Ge1 Ge 0.037 0.500 0.231
Ge2 Ge 0.118 0.500 0.076
Ge3 Ge 0.128 0.500 0.546
Pd1 Pd 0.246 0.500 0.398
```

Most intense lines, 2θ from 10° to 90°, by angle:
- 2θ 31.49, I 74
- 2θ 31.75, I 33
- 2θ 31.98, I 100
- 2θ 32.62, I 38
- 2θ 36.34, I 36
- 2θ 38.89, I 67
- 2θ 39.95, I 24
- 2θ 40.64, I 56
- 2θ 53.03, I 25
- 2θ 62.79, I 21

# 4
Structure and theoretical XRD peak list of NdGe2Pd (a crystal structure in Alexandria, relaxed with PBE; copper Kα).
Lines closer than 0.1° are merged.

Cell and atoms:
```
data_NdGe2Pd
_chemical_formula_sum 'Nd8 Ge16 Pd8'
_space_group_name_H-M_alt 'P n m a'
_space_group_IT_number 62
_cell_length_a 13.935
_cell_length_b 4.332
_cell_length_c 10.968
_cell_angle_alpha 90.00
_cell_angle_beta 90.00
_cell_angle_gamma 90.00
loop_
_space_group_symop_operation_xyz
'x,y,z'
'-x,-y,-z'
'-x+1/2,-y,z+1/2'
'x+1/2,y,-z+1/2'
'x+1/2,-y+1/2,-z+1/2'
'-x+1/2,y+1/2,z+1/2'
'-x,y+1/2,-z'
'x,-y+1/2,z'
loop_
_atom_site_label
_atom_site_type_symbol
_atom_site_fract_x
_atom_site_fract_y
_atom_site_fract_z
Nd1 Nd 0.044 0.250 0.245
Nd2 Nd 0.204 0.750 0.517
Ge1 Ge 0.039 0.250 0.535
Ge2 Ge 0.118 0.250 0.742
Ge3 Ge 0.129 0.750 0.021
Ge4 Ge 0.200 0.750 0.233
Pd1 Pd 0.056 0.250 0.955
Pd2 Pd 0.212 0.750 0.804
```

Most intense lines, 2θ from 10° to 90°, by angle:
- 2θ 32.67, I 73
- 2θ 32.99, I 100
- 2θ 34.02, I 15
- 2θ 34.59, I 32
- 2θ 40.71, I 17
- 2θ 41.69, I 46
- 2θ 46.32, I 21
- 2θ 47.11, I 38
- 2θ 53.94, I 24
- 2θ 64.66, I 15

# 5
Structure and theoretical XRD peak list of Nd3Ge6Pd20 (a crystal structure in Alexandria, relaxed with PBE; copper Kα).
Lines closer than 0.1° are merged.

Cell and atoms:
```
data_Nd3Ge6Pd20
_chemical_formula_sum 'Nd12 Ge24 Pd80'
_space_group_name_H-M_alt 'F m -3 m'
_space_group_IT_number 225
_space_group_name_Hall '-F 4 2 3'
_cell_length_a 12.588
_cell_length_b 12.588
_cell_length_c 12.588
_cell_angle_alpha 90.00
_cell_angle_beta 90.00
_cell_angle_gamma 90.00
loop_
_atom_site_label
_atom_site_type_symbol
_atom_site_fract_x
_atom_site_fract_y
_atom_site_fract_z
Nd1 Nd 0.000 0.000 0.000
Nd2 Nd 0.250 0.250 0.250
Ge1 Ge 0.000 0.000 0.268
Pd1 Pd 0.000 0.174 0.174
Pd2 Pd 0.117 0.117 0.383
```

Most intense lines, 2θ from 10° to 90°, by angle:
- 2θ 31.79, I 15
- 2θ 34.92, I 24
- 2θ 37.11, I 100
- 2θ 40.54, I 49
- 2θ 42.49, I 28
- 2θ 43.12, I 14
- 2θ 47.94, I 23
- 2θ 62.62, I 25
- 2θ 64.06, I 14
- 2θ 73.75, I 26

# 6
Structure and theoretical XRD peak list of Nd3Ge2Pd3 (a crystal structure in Alexandria, relaxed with PBE; copper Kα).
Lines closer than 0.1° are merged.

Cell and atoms:
```
data_Nd3Ge2Pd3
_chemical_formula_sum 'Nd12 Ge8 Pd12'
_space_group_name_H-M_alt 'P n m a'
_space_group_IT_number 62
_cell_length_a 7.800
_cell_length_b 15.617
_cell_length_c 5.831
_cell_angle_alpha 90.00
_cell_angle_beta 90.00
_cell_angle_gamma 90.00
loop_
_space_group_symop_operation_xyz
'x,y,z'
'-x,-y,-z'
'-x+1/2,-y,z+1/2'
'x+1/2,y,-z+1/2'
'x+1/2,-y+1/2,-z+1/2'
'-x+1/2,y+1/2,z+1/2'
'-x,y+1/2,-z'
'x,-y+1/2,z'
loop_
_atom_site_label
_atom_site_type_symbol
_atom_site_fract_x
_atom_site_fract_y
_atom_site_fract_z
Nd1 Nd 0.027 0.108 0.142
Nd2 Nd 0.163 0.250 0.631
Ge1 Ge 0.122 0.606 0.354
Pd1 Pd 0.173 0.032 0.592
Pd2 Pd 0.193 0.750 0.623
```

Most intense lines, 2θ from 10° to 90°, by angle:
- 2θ 29.83, I 45
- 2θ 32.48, I 100
- 2θ 32.79, I 33
- 2θ 33.31, I 44
- 2θ 34.49, I 35
- 2θ 36.01, I 61
- 2θ 37.18, I 48
- 2θ 37.89, I 57
- 2θ 40.30, I 47
- 2θ 66.48, I 18

# 7
Structure and theoretical XRD peak list of Nd2Ge3Pd2 (a crystal structure in Alexandria, relaxed with PBE; copper Kα).
Lines closer than 0.1° are merged.

Cell and atoms:
```
data_Nd2Ge3Pd2
_chemical_formula_sum 'Nd8 Ge12 Pd8'
_space_group_name_H-M_alt 'C m c m'
_space_group_IT_number 63
_space_group_name_Hall '-C 2c 2'
_cell_length_a 4.332
_cell_length_b 18.620
_cell_length_c 7.135
_cell_angle_alpha 90.00
_cell_angle_beta 90.00
_cell_angle_gamma 90.00
loop_
_atom_site_label
_atom_site_type_symbol
_atom_site_fract_x
_atom_site_fract_y
_atom_site_fract_z
Nd1 Nd 0.000 0.054 0.250
Nd2 Nd 0.000 0.156 0.750
Ge1 Ge 0.000 0.223 0.250
Ge2 Ge 0.000 0.438 0.067
Pd1 Pd 0.000 0.305 0.550
```

Most intense lines, 2θ from 10° to 90°, by angle:
- 2θ 31.44, I 27
- 2θ 32.88, I 100
- 2θ 34.15, I 100
- 2θ 35.67, I 25
- 2θ 38.69, I 24
- 2θ 40.76, I 22
- 2θ 41.70, I 47
- 2θ 42.69, I 43
- 2θ 61.20, I 29
- 2θ 71.88, I 18

# 8
Structure and theoretical XRD peak list of Nd4GePd3 (a crystal structure in Alexandria, relaxed with PBE; copper Kα).
Lines closer than 0.1° are merged.

Cell and atoms:
```
data_Nd4GePd3
_chemical_formula_sum 'Nd4 Ge1 Pd3'
_space_group_name_H-M_alt 'P m m 2'
_space_group_IT_number 25
_cell_length_a 4.028
_cell_length_b 4.493
_cell_length_c 11.035
_cell_angle_alpha 90.00
_cell_angle_beta 90.00
_cell_angle_gamma 90.00
loop_
_space_group_symop_operation_xyz
'x,y,z'
'-x,-y,z'
'-x,y,z'
'x,-y,z'
loop_
_atom_site_label
_atom_site_type_symbol
_atom_site_fract_x
_atom_site_fract_y
_atom_site_fract_z
Nd1 Nd 0.000 0.000 0.000
Nd2 Nd 0.000 0.500 0.273
Nd3 Nd 0.500 0.000 0.496
Nd4 Nd 0.500 0.500 0.775
Ge1 Ge 0.000 0.000 0.718
Pd1 Pd 0.000 0.500 0.555
Pd2 Pd 0.500 0.000 0.221
Pd3 Pd 0.500 0.500 0.054
```

Most intense lines, 2θ from 10° to 90°, by angle:
- 2θ 30.89, I 100
- 2θ 32.45, I 29
- 2θ 32.98, I 26
- 2θ 38.28, I 20
- 2θ 38.74, I 65
- 2θ 40.14, I 29
- 2θ 45.01, I 21
- 2θ 52.52, I 18
- 2θ 61.87, I 16
- 2θ 71.60, I 17

Copy entry 6 word for word.
Structure and theoretical XRD peak list of Nd3Ge2Pd3 (a crystal structure in Alexandria, relaxed with PBE; copper Kα).
Lines closer than 0.1° are merged.

Cell and atoms:
```
data_Nd3Ge2Pd3
_chemical_formula_sum 'Nd12 Ge8 Pd12'
_space_group_name_H-M_alt 'P n m a'
_space_group_IT_number 62
_cell_length_a 7.800
_cell_length_b 15.617
_cell_length_c 5.831
_cell_angle_alpha 90.00
_cell_angle_beta 90.00
_cell_angle_gamma 90.00
loop_
_space_group_symop_operation_xyz
'x,y,z'
'-x,-y,-z'
'-x+1/2,-y,z+1/2'
'x+1/2,y,-z+1/2'
'x+1/2,-y+1/2,-z+1/2'
'-x+1/2,y+1/2,z+1/2'
'-x,y+1/2,-z'
'x,-y+1/2,z'
loop_
_atom_site_label
_atom_site_type_symbol
_atom_site_fract_x
_atom_site_fract_y
_atom_site_fract_z
Nd1 Nd 0.027 0.108 0.142
Nd2 Nd 0.163 0.250 0.631
Ge1 Ge 0.122 0.606 0.354
Pd1 Pd 0.173 0.032 0.592
Pd2 Pd 0.193 0.750 0.623
```

Most intense lines, 2θ from 10° to 90°, by angle:
- 2θ 29.83, I 45
- 2θ 32.48, I 100
- 2θ 32.79, I 33
- 2θ 33.31, I 44
- 2θ 34.49, I 35
- 2θ 36.01, I 61
- 2θ 37.18, I 48
- 2θ 37.89, I 57
- 2θ 40.30, I 47
- 2θ 66.48, I 18